The following is a theoretical powder XRD pattern of CeEr3Sb4. It was derived from DFT lattice parameters and positions (GGA-PBE), using Cu Kα, 1.54184 Å.
Intensities are scaled so that the largest is 100.

Principal peaks in the range 2θ from 5° to 70°, low angle first:
d_spacing	Rel. int.
7.165	1
3.584	3
3.104	100
2.195	76
1.872	2
1.792	27
1.552	13
1.424	1
1.388	35

```
data_CeEr3Sb4
_symmetry_space_group_name_H-M 'C m m m'
_symmetry_Int_Tables_number 65
_symmetry_space_group_name_Hall '-C 2 2'
_cell_length_a 8.777
_cell_length_b 12.407
_cell_length_c 4.393
_cell_angle_alpha 90.00
_cell_angle_beta 90.00
_cell_angle_gamma 90.00
loop_
_atom_site_label
_atom_site_type_symbol
_atom_site_fract_x
_atom_site_fract_y
_atom_site_fract_z
Ce1 Ce 0.000 0.000 0.000
Er1 Er 0.000 0.500 0.000
Er2 Er 0.250 0.250 0.500
Sb1 Sb 0.000 0.252 0.000
Sb2 Sb 0.244 0.500 0.500
```